Record 1
For NaCo2O3, DFT lattice parameters and positions (PBE+U) gives the computed XRD peak list in this record (Cu Kα (weighted mean of Kα1 and Kα2)).
Lines closer than 0.1° are merged.

Structure:
abc: 5.8873 5.1760 5.9708
angles: 90.00 119.25 90.00
Atoms (fractional coordinates):
1 Na 0.0014 0.0000 0.1729
2 Na 0.9986 0.5000 0.8271
3 Co 0.3309 0.4875 0.5043
4 Co 0.3385 0.9760 0.8269
5 Co 0.6615 0.4760 0.1731
6 Co 0.6691 0.9875 0.4957
7 O 0.0147 0.5304 0.2229
8 O 0.3865 0.1132 0.5432
9 O 0.3922 0.5931 0.8293
10 O 0.6078 0.0931 0.1707
11 O 0.6135 0.6132 0.4568
12 O 0.9853 0.0304 0.7771

Principal peaks in the range 10 to 80 degrees two-theta, by intensity:
2θ = 34.6°, 2.590 Å, rel. 100; 2θ = 34.7°, 2.586 Å, rel. 46; 2θ = 35.1°, 2.559 Å, rel. 37; 2θ = 17.3°, 5.133 Å, rel. 35; 2θ = 30.4°, 2.944 Å, rel. 34; 2θ = 29.8°, 2.998 Å, rel. 28; 2θ = 62.1°, 1.494 Å, rel. 26; 2θ = 29.9°, 2.985 Å, rel. 24; 2θ = 52.7°, 1.737 Å, rel. 19; 2θ = 24.5°, 3.638 Å, rel. 18; 2θ = 24.2°, 3.672 Å, rel. 17; 2θ = 53.5°, 1.712 Å, rel. 17

***

Record 2
For Na3Co5O10, DFT lattice parameters and positions (PBE+U) gives the computed XRD peak list in this record (Cu Kα (weighted mean of Kα1 and Kα2)).
Lines closer than 0.1° are merged.

Structure:
abc: 6.4645 7.6226 8.6296
angles: 104.87 99.50 99.48
Atoms (fractional coordinates):
1 Na 0.0000 0.0000 0.0000
2 Na 0.0968 0.3935 0.0991
3 Na 0.1956 0.7903 0.2002
4 Na 0.4971 0.9934 0.5019
5 Na 0.5976 0.3932 0.5978
6 Na 0.6962 0.7939 0.6969
7 Co 0.0696 0.5998 0.5670
8 Co 0.1580 0.9954 0.6687
9 Co 0.2567 0.3901 0.7741
10 Co 0.3555 0.7925 0.8706
11 Co 0.4647 0.1934 0.9659
12 Co 0.5646 0.5925 0.0680
13 Co 0.6558 0.9917 0.1687
14 Co 0.7513 0.3929 0.2694
15 Co 0.8556 0.7927 0.3676
16 Co 0.9614 0.1914 0.4668
17 O 0.0331 0.3804 0.3672
18 O 0.0647 0.7988 0.7614
19 O 0.1481 0.8044 0.4702
20 O 0.1772 0.1948 0.8642
21 O 0.2468 0.1951 0.5788
22 O 0.2739 0.5876 0.9659
23 O 0.3566 0.5878 0.6853
24 O 0.3737 0.9938 0.0615
25 O 0.4452 0.9915 0.7722
26 O 0.4794 0.3953 0.1575
27 O 0.5391 0.3924 0.8734
28 O 0.5705 0.7955 0.2595
29 O 0.6510 0.8013 0.9829
30 O 0.6715 0.1894 0.3619
31 O 0.7478 0.1931 0.0805
32 O 0.7644 0.5909 0.4560
33 O 0.8471 0.5898 0.1787
34 O 0.8731 0.9969 0.5590
35 O 0.9384 0.9908 0.2731
36 O 0.9754 0.3801 0.6559

Principal peaks in the range 10 to 80 degrees two-theta, by intensity:
2θ = 15.9°, 5.562 Å, rel. 100; 2θ = 45.7°, 1.986 Å, rel. 32; 2θ = 37.9°, 2.372 Å, rel. 22; 2θ = 45.3°, 2.003 Å, rel. 16; 2θ = 32.2°, 2.781 Å, rel. 13; 2θ = 37.6°, 2.393 Å, rel. 11; 2θ = 53.3°, 1.718 Å, rel. 9; 2θ = 57.9°, 1.593 Å, rel. 7; 2θ = 36.4°, 2.466 Å, rel. 6; 2θ = 36.7°, 2.446 Å, rel. 6; 2θ = 36.6°, 2.453 Å, rel. 6; 2θ = 67.7°, 1.384 Å, rel. 6

***

Record 3
For Na2CoO3, DFT lattice parameters and positions (PBE+U) gives the computed XRD peak list in this record (Cu Kα (weighted mean of Kα1 and Kα2)).
Lines closer than 0.1° are merged.

Structure:
abc: 5.7982 5.7982 6.2229
angles: 106.44 106.44 61.47
Atoms (fractional coordinates):
1 Na 0.0000 0.0000 0.0000
2 Na 0.0000 0.0000 0.5000
3 Na 0.3515 0.3515 0.7744
4 Na 0.6485 0.6485 0.2256
5 Co 0.3370 0.3370 0.2606
6 Co 0.6630 0.6630 0.7394
7 O 0.1925 0.6399 0.1877
8 O 0.2053 0.2053 0.3759
9 O 0.3601 0.8075 0.8123
10 O 0.6399 0.1925 0.1877
11 O 0.7947 0.7947 0.6241
12 O 0.8075 0.3601 0.8123

Principal peaks in the range 10 to 80 degrees two-theta, by intensity:
2θ = 32.3°, 2.773 Å, rel. 100; 2θ = 38.1°, 2.361 Å, rel. 67; 2θ = 30.2°, 2.964 Å, rel. 65; 2θ = 25.3°, 3.522 Å, rel. 58; 2θ = 21.2°, 4.195 Å, rel. 58; 2θ = 30.4°, 2.938 Å, rel. 45; 2θ = 43.1°, 2.098 Å, rel. 41; 2θ = 27.9°, 3.196 Å, rel. 40; 2θ = 17.7°, 5.015 Å, rel. 25; 2θ = 19.9°, 4.458 Å, rel. 23; 2θ = 32.5°, 2.755 Å, rel. 23; 2θ = 51.3°, 1.781 Å, rel. 21

***

Record 4
For Na7Co3O8, DFT lattice parameters and positions (PBE+U) gives the computed XRD peak list in this record (Cu Kα (weighted mean of Kα1 and Kα2)).
Lines closer than 0.1° are merged.

Structure:
abc: 5.5178 8.2411 10.4668
angles: 89.62 89.42 88.89
Atoms (fractional coordinates):
1 Na 0.0200 0.3674 0.1207
2 Na 0.0239 0.1227 0.3737
3 Na 0.2137 0.3850 0.7407
4 Na 0.2161 0.8859 0.2236
5 Na 0.2222 0.6500 0.4797
6 Na 0.2432 0.1175 0.9730
7 Na 0.3586 0.3785 0.3256
8 Na 0.6414 0.6215 0.6744
9 Na 0.7568 0.8825 0.0270
10 Na 0.7778 0.3500 0.5203
11 Na 0.7839 0.1141 0.7764
12 Na 0.7863 0.6150 0.2593
13 Na 0.9761 0.8773 0.6263
14 Na 0.9800 0.6326 0.8793
15 Co 0.3638 0.1086 0.5787
16 Co 0.3637 0.6216 0.0625
17 Co 0.3818 0.8391 0.8036
18 Co 0.6182 0.1609 0.1964
19 Co 0.6363 0.3784 0.9375
20 Co 0.6362 0.8914 0.4213
21 O 0.2395 0.6033 0.2227
22 O 0.2385 0.6843 0.7090
23 O 0.2568 0.0591 0.7447
24 O 0.2602 0.3088 0.5261
25 O 0.2661 0.8193 0.9860
26 O 0.2943 0.9308 0.4608
27 O 0.2945 0.1558 0.1923
28 O 0.2955 0.4282 0.9598
29 O 0.7045 0.5718 0.0402
30 O 0.7055 0.8442 0.8077
31 O 0.7057 0.0692 0.5392
32 O 0.7339 0.1807 0.0140
33 O 0.7398 0.6912 0.4739
34 O 0.7432 0.9409 0.2553
35 O 0.7615 0.3157 0.2910
36 O 0.7605 0.3967 0.7773

Principal peaks in the range 10 to 80 degrees two-theta, by intensity:
2θ = 32.3°, 2.773 Å, rel. 100; 2θ = 44.6°, 2.031 Å, rel. 67; 2θ = 13.7°, 6.487 Å, rel. 58; 2θ = 32.0°, 2.796 Å, rel. 53; 2θ = 35.1°, 2.559 Å, rel. 45; 2θ = 20.9°, 4.249 Å, rel. 34; 2θ = 44.0°, 2.060 Å, rel. 34; 2θ = 16.1°, 5.516 Å, rel. 34; 2θ = 48.2°, 1.889 Å, rel. 34; 2θ = 48.0°, 1.897 Å, rel. 31; 2θ = 32.5°, 2.758 Å, rel. 26; 2θ = 55.4°, 1.660 Å, rel. 26

***

Record 5
For NaCo3O6, DFT lattice parameters and positions (PBE+U) gives the computed XRD peak list in this record (Cu Kα (weighted mean of Kα1 and Kα2)).
Lines closer than 0.1° are merged.

Structure:
abc: 7.1704 7.1704 4.9393
angles: 96.30 96.30 73.02
Atoms (fractional coordinates):
1 Na 0.2488 0.2488 0.2479
2 Na 0.7512 0.7512 0.7521
3 Co 0.0049 0.9951 0.5000
4 Co 0.1673 0.8327 0.0000
5 Co 0.3333 0.6667 0.5000
6 Co 0.4983 0.5017 0.0000
7 Co 0.6653 0.3347 0.5000
8 Co 0.8322 0.1678 0.0000
9 O 0.0856 0.0920 0.8858
10 O 0.0882 0.7374 0.6415
11 O 0.2529 0.5770 0.1414
12 O 0.2626 0.9118 0.3585
13 O 0.4155 0.4158 0.6398
14 O 0.4230 0.7471 0.8586
15 O 0.5766 0.2531 0.1420
16 O 0.5842 0.5845 0.3602
17 O 0.7404 0.0885 0.6482
18 O 0.7469 0.4234 0.8580
19 O 0.9080 0.9144 0.1142
20 O 0.9115 0.2596 0.3518

Principal peaks in the range 10 to 80 degrees two-theta, by intensity:
2θ = 15.5°, 5.709 Å, rel. 100; 2θ = 42.4°, 2.133 Å, rel. 27; 2θ = 42.1°, 2.145 Å, rel. 14; 2θ = 36.9°, 2.439 Å, rel. 10; 2θ = 38.0°, 2.370 Å, rel. 10; 2θ = 52.8°, 1.734 Å, rel. 9; 2θ = 31.3°, 2.855 Å, rel. 9; 2θ = 56.9°, 1.619 Å, rel. 7; 2θ = 65.5°, 1.425 Å, rel. 7; 2θ = 67.9°, 1.380 Å, rel. 6; 2θ = 36.7°, 2.447 Å, rel. 5; 2θ = 52.5°, 1.744 Å, rel. 5

***

Record 6
For Na3Co4O8, DFT lattice parameters and positions (PBE+U) gives the computed XRD peak list in this record (Cu Kα (weighted mean of Kα1 and Kα2)).
Lines closer than 0.1° are merged.

Structure:
abc: 5.8681 5.9320 6.2274
angles: 62.80 75.19 84.06
Atoms (fractional coordinates):
1 Na 0.0000 0.0000 0.0000
2 Na 0.2139 0.5135 0.1561
3 Na 0.7861 0.4865 0.8439
4 Co 0.0000 0.0000 0.5000
5 Co 0.3523 0.5991 0.6151
6 Co 0.5000 0.0000 0.0000
7 Co 0.6477 0.4009 0.3849
8 O 0.1174 0.7616 0.7651
9 O 0.2395 0.8672 0.2929
10 O 0.3313 0.3318 0.5181
11 O 0.3877 0.3176 0.9250
12 O 0.6123 0.6824 0.0750
13 O 0.6687 0.6682 0.4819
14 O 0.7605 0.1328 0.7071
15 O 0.8826 0.2384 0.2349

Principal peaks in the range 10 to 80 degrees two-theta, by intensity:
2θ = 20.9°, 4.241 Å, rel. 100; 2θ = 23.2°, 3.833 Å, rel. 36; 2θ = 47.4°, 1.917 Å, rel. 30; 2θ = 29.8°, 3.003 Å, rel. 24; 2θ = 33.3°, 2.690 Å, rel. 23; 2θ = 44.0°, 2.057 Å, rel. 23; 2θ = 40.4°, 2.233 Å, rel. 22; 2θ = 36.2°, 2.482 Å, rel. 22; 2θ = 35.7°, 2.515 Å, rel. 15; 2θ = 41.9°, 2.154 Å, rel. 15; 2θ = 30.5°, 2.929 Å, rel. 14; 2θ = 55.1°, 1.666 Å, rel. 13